Diffraction record for Ac6NdSn3. The X-ray diffraction stick pattern is computed, not measured: it uses a structure optimized by DFT (PBE) and a wavelength of 1.5418 Å.
Neutral-atom scattering factors, no anomalous dispersion.

Structural model:
a = 10.2780 Å, b = 10.2780 Å, c = 7.9287 Å
α = 90.00°, β = 90.00°, γ = 102.82°
Element x y z (fractional)
1 Ac 0.0423 0.9577 0.5000
2 Ac 0.0568 0.4665 0.0164
3 Ac 0.2552 0.7448 0.3458
4 Ac 0.2829 0.3521 0.3426
5 Ac 0.3521 0.2829 0.8426
6 Ac 0.4665 0.0568 0.5164
7 Ac 0.5335 0.9432 0.0164
8 Ac 0.6479 0.7171 0.3426
9 Ac 0.7171 0.6479 0.8426
10 Ac 0.7448 0.2552 0.8458
11 Ac 0.9432 0.5335 0.5164
12 Ac 0.9577 0.0423 0.0000
13 Nd 0.1964 0.8036 0.8677
14 Nd 0.8036 0.1964 0.3677
15 Sn 0.0511 0.2669 0.6600
16 Sn 0.2669 0.0511 0.1600
17 Sn 0.4003 0.5997 0.0369
18 Sn 0.5997 0.4003 0.5369
19 Sn 0.7331 0.9489 0.6600
20 Sn 0.9489 0.7331 0.1600

Top 10 peaks for 2θ = 10–90°, sorted by position:
| d_spacing | I/Imax |
| --- | --- |
| 3.205 | 22 |
| 3.128 | 88 |
| 3.109 | 100 |
| 3.078 | 24 |
| 2.901 | 24 |
| 2.860 | 31 |
| 2.787 | 21 |
| 2.509 | 34 |
| 1.843 | 28 |
| 1.606 | 25 |